Record 1
The following is a theoretical X-ray diffraction stick pattern of Y2PtBr2. It was derived from DFT lattice parameters and positions (PBE), using a wavelength of 1.5418 Å.
Lines closer than 0.1° are merged.

Main lines, in order of rising 2θ (10 to 90 degrees two-theta):
2θ (°)	intensity
29.15	100.0
33.93	48.6
37.86	19.6
44.58	37.2
45.25	38.8
46.05	12.6
54.73	17.3
70.03	18.5
73.65	14.0
83.09	12.2

Structural model:
a b c (Å): 11.109 11.109 11.109
angles (deg): 20.79 20.79 20.79
Fractional coordinates of all 5 atoms:
Y1 0.116 0.116 0.116
Y2 0.884 0.884 0.884
Pt1 0.500 0.500 0.500
Br1 0.276 0.276 0.276
Br2 0.724 0.724 0.724



Record 2
The following is a theoretical X-ray diffraction stick pattern of RbPu4Br8. It was derived from DFT lattice parameters and positions (PBE), using a wavelength of 1.5418 Å.
Lines closer than 0.1° are merged.

Main lines, in order of rising 2θ (10 to 90 degrees two-theta):
2θ (°)	intensity
25.98	24.1
26.44	20.2
27.79	51.7
32.68	100.0
39.62	49.8
45.82	31.7
46.96	21.0
57.42	20.2
62.13	29.1
76.38	17.6

Structural model:
a b c (Å): 7.921 7.921 18.221
angles (deg): 90.00 90.00 120.00
Fractional coordinates of all 26 atoms:
Rb1 0.000 0.000 0.000
Rb2 0.000 0.000 0.500
Pu1 0.000 0.000 0.250
Pu2 0.000 0.000 0.750
Pu3 0.009 0.505 0.250
Pu4 0.495 0.505 0.250
Pu5 0.495 0.991 0.250
Pu6 0.505 0.009 0.750
Pu7 0.505 0.495 0.750
Pu8 0.991 0.495 0.750
Br1 0.168 0.336 0.644
Br2 0.168 0.336 0.856
Br3 0.168 0.832 0.644
Br4 0.168 0.832 0.856
Br5 0.333 0.667 0.140
Br6 0.333 0.667 0.360
Br7 0.336 0.168 0.144
Br8 0.336 0.168 0.356
Br9 0.664 0.832 0.644
Br10 0.664 0.832 0.856
Br11 0.667 0.333 0.640
Br12 0.667 0.333 0.860
Br13 0.832 0.168 0.144
Br14 0.832 0.168 0.356
Br15 0.832 0.664 0.144
Br16 0.832 0.664 0.356